No. 1
Structure and computed powder diffractogram of ZrTlB4 (DFT lattice parameters and positions (PBE); λ = 1.5418 Å (Cu Kα)).

Principal peaks in the range 10 to 90 degrees two-theta, in order of falling intensity:
two_theta  I (rel.)  h k l
38.84  100  1 0 2
32.59  66  1 0 0
20.56  62  0 0 2
54.00  35  1 0 4
10.24  31  0 0 1
62.36  20  1 1 2
34.25  19  1 0 1
58.15  17  1 1 0
72.15  16  2 0 2
74.17  15  1 1 4

Cell and atoms:
```
data_ZrTlB4
_chemical_formula_sum 'Zr1 Tl1 B4'
_space_group_name_H-M_alt 'P 6/m m m'
_space_group_IT_number 191
_space_group_name_Hall '-P 6 2'
_cell_length_a 3.1728
_cell_length_b 3.1728
_cell_length_c 8.6389
_cell_angle_alpha 90.00
_cell_angle_beta 90.00
_cell_angle_gamma 120.00
loop_
_atom_site_label
_atom_site_fract_x
_atom_site_fract_y
_atom_site_fract_z
Zr1 0.0000 0.0000 0.0000
Tl1 0.0000 0.0000 0.5000
B1 0.3333 0.6667 0.1989
```

---

No. 2
Structure and computed powder diffractogram of TmB (DFT lattice parameters and positions (PBE); λ = 1.5418 Å (Cu Kα)).

Principal peaks in the range 10 to 90 degrees two-theta, in order of falling intensity:
two_theta  I (rel.)  h k l
29.50  100  1 1 1
34.20  62  2 0 0
58.36  46  3 1 1
49.14  45  2 2 0
82.20  20  4 2 0
79.70  19  3 3 1
61.22  15  2 2 2
72.03  7  4 0 0

Cell and atoms:
```
data_TmB
_chemical_formula_sum 'Tm4 B4'
_space_group_name_H-M_alt 'F m -3 m'
_space_group_IT_number 225
_space_group_name_Hall '-F 4 2 3'
_cell_length_a 5.244
_cell_length_b 5.244
_cell_length_c 5.244
_cell_angle_alpha 90.00
_cell_angle_beta 90.00
_cell_angle_gamma 90.00
loop_
_atom_site_label
_atom_site_fract_x
_atom_site_fract_y
_atom_site_fract_z
Tm1 0.000 0.000 0.000
B1 0.000 0.000 0.500
```

---

No. 3
Structure and computed powder diffractogram of BW (DFT lattice parameters and positions (PBE); λ = 1.5418 Å (Cu Kα)).

Principal peaks in the range 10 to 90 degrees two-theta, in order of falling intensity:
two_theta  I (rel.)  h k l
42.02  100  1 1 2
32.57  99  1 0 3
39.01  93  1 0 5
69.60  32  1 1 10
47.28  32  1 0 7
58.75  32  2 0 0
72.80  31  2 1 5
42.51  30  0 0 8
68.81  24  2 1 3
75.18  23  2 0 8

Cell and atoms:
```
data_BW
_chemical_formula_sum 'B8 W8'
_space_group_name_H-M_alt 'I 41/a m d'
_space_group_IT_number 141
_cell_length_a 3.143
_cell_length_b 3.143
_cell_length_c 17.011
_cell_angle_alpha 90.00
_cell_angle_beta 90.00
_cell_angle_gamma 90.00
loop_
_space_group_symop_operation_xyz
'x,y,z'
'-x,-y,-z'
'-y+1/4,x+3/4,z+1/4'
'y+1/4,-x+3/4,-z+1/4'
'-x+1/2,-y,z+1/2'
'x+1/2,y,-z+1/2'
'y+1/4,-x+1/4,z+3/4'
'-y+1/4,x+1/4,-z+3/4'
'x,-y,-z'
'-x,y,z'
'-y+1/4,-x+1/4,-z+3/4'
'y+1/4,x+1/4,z+3/4'
'-x+1/2,y,-z+1/2'
'x+1/2,-y,z+1/2'
'y+1/4,x+3/4,-z+1/4'
'-y+1/4,-x+3/4,z+1/4'
'x+1/2,y+1/2,z+1/2'
'-x+1/2,-y+1/2,-z+1/2'
'-y+3/4,x+1/4,z+3/4'
'y+3/4,-x+1/4,-z+3/4'
'-x,-y+1/2,z'
'x,y+1/2,-z'
'y+3/4,-x+3/4,z+1/4'
'-y+3/4,x+3/4,-z+1/4'
'x+1/2,-y+1/2,-z+1/2'
'-x+1/2,y+1/2,z+1/2'
'-y+3/4,-x+3/4,-z+1/4'
'y+3/4,x+3/4,z+1/4'
'-x,y+1/2,-z'
'x,-y+1/2,z'
'y+3/4,x+1/4,-z+3/4'
'-y+3/4,-x+1/4,z+3/4'
loop_
_atom_site_label
_atom_site_fract_x
_atom_site_fract_y
_atom_site_fract_z
B1 0.000 0.250 0.031
W1 0.000 0.250 0.178
```

---

No. 4
Structure and computed powder diffractogram of BW (DFT lattice parameters and positions (PBE); λ = 1.5418 Å (Cu Kα)).

Principal peaks in the range 10 to 90 degrees two-theta, in order of falling intensity:
two_theta  I (rel.)  h k l
42.02  100  1 1 2
32.57  99  1 0 3
39.02  93  1 0 5
69.60  32  1 1 10
47.28  32  1 0 7
58.76  32  2 0 0
72.81  31  2 1 5
42.51  30  0 0 8
68.82  24  2 1 3
75.18  23  2 0 8

Cell and atoms:
```
data_BW
_chemical_formula_sum 'B8 W8'
_space_group_name_H-M_alt 'I 41/a m d'
_space_group_IT_number 141
_cell_length_a 3.143
_cell_length_b 3.143
_cell_length_c 17.012
_cell_angle_alpha 90.00
_cell_angle_beta 90.00
_cell_angle_gamma 90.00
loop_
_space_group_symop_operation_xyz
'x,y,z'
'-x,-y,-z'
'-y+1/4,x+3/4,z+1/4'
'y+1/4,-x+3/4,-z+1/4'
'-x+1/2,-y,z+1/2'
'x+1/2,y,-z+1/2'
'y+1/4,-x+1/4,z+3/4'
'-y+1/4,x+1/4,-z+3/4'
'x,-y,-z'
'-x,y,z'
'-y+1/4,-x+1/4,-z+3/4'
'y+1/4,x+1/4,z+3/4'
'-x+1/2,y,-z+1/2'
'x+1/2,-y,z+1/2'
'y+1/4,x+3/4,-z+1/4'
'-y+1/4,-x+3/4,z+1/4'
'x+1/2,y+1/2,z+1/2'
'-x+1/2,-y+1/2,-z+1/2'
'-y+3/4,x+1/4,z+3/4'
'y+3/4,-x+1/4,-z+3/4'
'-x,-y+1/2,z'
'x,y+1/2,-z'
'y+3/4,-x+3/4,z+1/4'
'-y+3/4,x+3/4,-z+1/4'
'x+1/2,-y+1/2,-z+1/2'
'-x+1/2,y+1/2,z+1/2'
'-y+3/4,-x+3/4,-z+1/4'
'y+3/4,x+3/4,z+1/4'
'-x,y+1/2,-z'
'x,-y+1/2,z'
'y+3/4,x+1/4,-z+3/4'
'-y+3/4,-x+1/4,z+3/4'
loop_
_atom_site_label
_atom_site_fract_x
_atom_site_fract_y
_atom_site_fract_z
B1 0.000 0.250 0.031
W1 0.000 0.250 0.178
```

---

No. 5
Structure and computed powder diffractogram of YB4W (DFT lattice parameters and positions (PBE); λ = 1.5418 Å (Cu Kα)).

Principal peaks in the range 10 to 90 degrees two-theta, in order of falling intensity:
two_theta  I (rel.)  h k l
24.56  100  0 0 1
39.63  95  0 4 1
30.61  76  0 4 0
45.53  66  2 3 1
37.72  48  2 3 0
16.53  46  1 1 0
42.50  42  1 4 1
34.13  32  1 4 0
50.36  23  0 0 2
60.09  23  0 4 2

Cell and atoms:
```
data_YB4W
_chemical_formula_sum 'Y4 B16 W4'
_space_group_name_H-M_alt 'P b a m'
_space_group_IT_number 55
_cell_length_a 6.038
_cell_length_b 11.669
_cell_length_c 3.624
_cell_angle_alpha 90.00
_cell_angle_beta 90.00
_cell_angle_gamma 90.00
loop_
_space_group_symop_operation_xyz
'x,y,z'
'-x,-y,-z'
'-x,-y,z'
'x,y,-z'
'x+1/2,-y+1/2,-z'
'-x+1/2,y+1/2,z'
'-x+1/2,y+1/2,-z'
'x+1/2,-y+1/2,z'
loop_
_atom_site_label
_atom_site_fract_x
_atom_site_fract_y
_atom_site_fract_z
Y1 0.127 0.150 0.000
B1 0.024 0.693 0.500
B2 0.114 0.547 0.500
B3 0.134 0.968 0.500
B4 0.213 0.814 0.500
W1 0.131 0.416 0.000
```

---

No. 6
Structure and computed powder diffractogram of ZnB2W2 (DFT lattice parameters and positions (PBE); λ = 1.5418 Å (Cu Kα)).

Principal peaks in the range 10 to 90 degrees two-theta, in order of falling intensity:
two_theta  I (rel.)  h k l
37.30  100  1 3 0
41.60  87  1 1 1
42.55  73  0 4 1
71.52  65  1 7 1
47.46  65  0 6 0
28.30  50  0 0 1
31.10  31  0 4 0
76.00  26  2 4 1
29.85  26  1 1 0
32.38  20  0 2 1

Cell and atoms:
```
data_ZnB2W2
_chemical_formula_sum 'Zn2 B4 W4'
_space_group_name_H-M_alt 'C m m m'
_space_group_IT_number 65
_space_group_name_Hall '-C 2 2'
_cell_length_a 3.100
_cell_length_b 11.502
_cell_length_c 3.154
_cell_angle_alpha 90.00
_cell_angle_beta 90.00
_cell_angle_gamma 90.00
loop_
_atom_site_label
_atom_site_fract_x
_atom_site_fract_y
_atom_site_fract_z
Zn1 0.000 0.000 0.000
B1 0.000 0.207 0.000
W1 0.000 0.356 0.500
```

---

No. 7
Structure and computed powder diffractogram of Y3ZnB2 (DFT lattice parameters and positions (PBE); λ = 1.5418 Å (Cu Kα)).

Principal peaks in the range 10 to 90 degrees two-theta, in order of falling intensity:
two_theta  I (rel.)  h k l
32.49  100  0 0 8
34.77  30  1 0 5
60.60  28  1 1 8
28.36  27  1 0 1
49.66  26  1 1 0
46.78  13  1 0 9
82.07  11  2 1 4
62.02  8  2 0 5
57.93  8  1 0 12
43.43  8  1 0 8

Cell and atoms:
```
data_Y3ZnB2
_chemical_formula_sum 'Y6 Zn2 B4'
_space_group_name_H-M_alt 'P 63/m m c'
_space_group_IT_number 194
_space_group_name_Hall '-P 6c 2c'
_cell_length_a 3.6714
_cell_length_b 3.6714
_cell_length_c 22.0715
_cell_angle_alpha 90.00
_cell_angle_beta 90.00
_cell_angle_gamma 120.00
loop_
_atom_site_label
_atom_site_fract_x
_atom_site_fract_y
_atom_site_fract_z
Y1 0.0000 0.0000 0.0000
Y2 0.3333 0.6667 0.1433
Zn1 0.0000 0.0000 0.2500
B1 0.3333 0.6667 0.5776
```

---

No. 8
Structure and computed powder diffractogram of Zn3B (DFT lattice parameters and positions (PBE); λ = 1.5418 Å (Cu Kα)).

Principal peaks in the range 10 to 90 degrees two-theta, in order of falling intensity:
two_theta  I (rel.)  h k l
37.12  100  1 1 1
39.97  63  0 1 2
43.81  42  2 1 -1
49.98  33  0 2 0
45.50  29  1 0 -3
48.31  28  2 1 -2
45.05  25  2 0 1
29.01  21  0 1 1
79.50  19  3 1 -4
31.14  18  1 0 -2

Cell and atoms:
```
data_Zn3B
_chemical_formula_sum 'Zn6 B2'
_space_group_name_H-M_alt 'P 1 21/m 1'
_space_group_IT_number 11
_cell_length_a 5.053
_cell_length_b 3.650
_cell_length_c 6.010
_cell_angle_alpha 90.00
_cell_angle_beta 107.56
_cell_angle_gamma 90.00
loop_
_space_group_symop_operation_xyz
'x,y,z'
'-x,-y,-z'
'-x,y+1/2,-z'
'x,-y+1/2,z'
loop_
_atom_site_label
_atom_site_fract_x
_atom_site_fract_y
_atom_site_fract_z
Zn1 0.075 0.250 0.225
Zn2 0.307 0.250 0.906
Zn3 0.337 0.750 0.580
B1 0.324 0.750 0.206
```

---

No. 9
Structure and computed powder diffractogram of Zn4B3 (DFT lattice parameters and positions (PBE); λ = 1.5418 Å (Cu Kα)).

Principal peaks in the range 10 to 90 degrees two-theta, in order of falling intensity:
two_theta  I (rel.)  h k l
42.28  100  1 1 2
11.12  60  0 0 1
39.80  59  2 1 -1
36.44  49  1 1 1
39.36  48  3 0 1
47.56  46  3 1 -1
11.57  42  1 0 0
33.33  41  1 0 -3
35.21  40  3 0 0
36.94  35  2 0 -3

Cell and atoms:
```
data_Zn4B3
_chemical_formula_sum 'Zn8 B6'
_space_group_name_H-M_alt 'P 1 m 1'
_space_group_IT_number 6
_cell_length_a 7.823
_cell_length_b 2.832
_cell_length_c 8.141
_cell_angle_alpha 90.00
_cell_angle_beta 102.21
_cell_angle_gamma 90.00
loop_
_space_group_symop_operation_xyz
'x,y,z'
'x,-y,z'
loop_
_atom_site_label
_atom_site_fract_x
_atom_site_fract_y
_atom_site_fract_z
Zn1 0.000 0.000 0.000
Zn2 0.005 0.500 0.312
Zn3 0.088 0.500 0.727
Zn4 0.251 0.000 0.528
Zn5 0.281 0.500 0.177
Zn6 0.356 0.000 0.906
Zn7 0.641 0.500 0.961
Zn8 0.721 0.000 0.241
B1 0.465 0.000 0.337
B2 0.544 0.000 0.544
B3 0.585 0.500 0.403
B4 0.698 0.000 0.729
B5 0.701 0.500 0.600
B6 0.825 0.500 0.790
```

---

No. 10
Structure and computed powder diffractogram of Zn2B (DFT lattice parameters and positions (PBE); λ = 1.5418 Å (Cu Kα)).

Principal peaks in the range 10 to 90 degrees two-theta, in order of falling intensity:
two_theta  I (rel.)  h k l
41.37  100  -1 2 3
38.14  97  1 1 4
33.53  65  1 2 3
39.69  54  1 1 -3
29.55  48  0 2 -1
50.23  46  2 -1 1
38.31  43  0 3 0
44.58  41  2 0 0
43.56  39  1 0 -4
36.00  27  0 0 4

Cell and atoms:
```
data_Zn2B
_chemical_formula_sum 'Zn16 B8'
_space_group_name_H-M_alt 'P -1'
_space_group_IT_number 2
_cell_length_a 4.177
_cell_length_b 7.665
_cell_length_c 10.662
_cell_angle_alpha 69.60
_cell_angle_beta 82.71
_cell_angle_gamma 77.03
loop_
_space_group_symop_operation_xyz
'x,y,z'
'-x,-y,-z'
loop_
_atom_site_label
_atom_site_fract_x
_atom_site_fract_y
_atom_site_fract_z
Zn1 0.132 0.383 0.133
Zn2 0.141 0.675 0.628
Zn3 0.199 0.051 0.688
Zn4 0.210 0.248 0.902
Zn5 0.264 0.999 0.432
Zn6 0.284 0.780 0.926
Zn7 0.303 0.980 0.159
Zn8 0.336 0.361 0.535
B1 0.057 0.658 0.309
B2 0.309 0.665 0.169
B3 0.343 0.461 0.314
B4 0.412 0.547 0.826
```

---

No. 11
Structure and computed powder diffractogram of Zn2B (DFT lattice parameters and positions (PBE); λ = 1.5418 Å (Cu Kα)).

Principal peaks in the range 10 to 90 degrees two-theta, in order of falling intensity:
two_theta  I (rel.)  h k l
36.35  100  1 2 1
46.86  27  1 0 2
27.15  24  0 2 1
48.53  20  2 0 0
34.45  19  0 3 1
37.05  16  1 3 0
39.81  11  0 0 2
49.55  11  1 4 1
37.70  11  0 4 0
88.71  11  1 8 1

Cell and atoms:
```
data_Zn2B
_chemical_formula_sum 'Zn8 B4'
_space_group_name_H-M_alt 'P m m n'
_space_group_IT_number 59
_cell_length_a 3.752
_cell_length_b 9.544
_cell_length_c 4.529
_cell_angle_alpha 90.00
_cell_angle_beta 90.00
_cell_angle_gamma 90.00
loop_
_space_group_symop_operation_xyz
'x,y,z'
'-x,-y,-z'
'-x+1/2,-y+1/2,z'
'x+1/2,y+1/2,-z'
'x+1/2,-y,-z'
'-x+1/2,y,z'
'-x,y+1/2,-z'
'x,-y+1/2,z'
loop_
_atom_site_label
_atom_site_fract_x
_atom_site_fract_y
_atom_site_fract_z
Zn1 0.250 0.058 0.181
Zn2 0.250 0.250 0.701
Zn3 0.250 0.750 0.650
B1 0.250 0.663 0.104
```

---

No. 12
Structure and computed powder diffractogram of Zn4B3 (DFT lattice parameters and positions (PBE); λ = 1.5418 Å (Cu Kα)).

Principal peaks in the range 10 to 90 degrees two-theta, in order of falling intensity:
two_theta  I (rel.)  h k l
34.41  100  0 2 2
39.56  53  2 2 0
40.13  46  2 0 2
30.21  30  2 0 -2
25.59  29  1 1 -2
48.15  28  3 1 -3
20.16  25  1 1 -1
42.53  23  0 0 4
52.15  21  1 3 -3
29.03  20  0 2 1

Cell and atoms:
```
data_Zn4B3
_chemical_formula_sum 'Zn16 B12'
_space_group_name_H-M_alt 'C 1 2/c 1'
_space_group_IT_number 15
_cell_length_a 6.563
_cell_length_b 6.598
_cell_length_c 8.858
_cell_angle_alpha 90.00
_cell_angle_beta 106.29
_cell_angle_gamma 90.00
loop_
_space_group_symop_operation_xyz
'x,y,z'
'-x,-y,-z'
'-x,y,-z+1/2'
'x,-y,z+1/2'
'x+1/2,y+1/2,z'
'-x+1/2,-y+1/2,-z'
'-x+1/2,y+1/2,-z+1/2'
'x+1/2,-y+1/2,z+1/2'
loop_
_atom_site_label
_atom_site_fract_x
_atom_site_fract_y
_atom_site_fract_z
Zn1 0.050 0.233 0.470
Zn2 0.211 0.446 0.276
B1 0.000 0.243 0.750
B2 0.207 0.256 0.901
```

---

No. 13
Structure and computed powder diffractogram of Zr4ZnB3 (DFT lattice parameters and positions (PBE); λ = 1.5418 Å (Cu Kα)).

Principal peaks in the range 10 to 90 degrees two-theta, in order of falling intensity:
two_theta  I (rel.)  h k l
36.73  100  1 0 6
34.77  75  1 0 5
53.07  46  1 1 0
33.09  33  1 0 4
66.30  30  2 0 6
35.10  29  0 0 10
65.23  28  1 1 10
30.72  27  1 0 2
30.10  26  1 0 1
89.83  21  2 1 6

Cell and atoms:
```
data_Zr4ZnB3
_chemical_formula_sum 'Zr8 Zn2 B6'
_space_group_name_H-M_alt 'P 63/m m c'
_space_group_IT_number 194
_space_group_name_Hall '-P 6c 2c'
_cell_length_a 3.4514
_cell_length_b 3.4514
_cell_length_c 25.5634
_cell_angle_alpha 90.00
_cell_angle_beta 90.00
_cell_angle_gamma 120.00
loop_
_atom_site_label
_atom_site_fract_x
_atom_site_fract_y
_atom_site_fract_z
Zr1 0.0000 0.0000 0.1633
Zr2 0.3333 0.6667 0.0566
Zn1 0.3333 0.6667 0.2500
B1 0.0000 0.0000 0.0000
B2 0.3333 0.6667 0.6143
```